This entry pairs a crystal structure of Nd4Pt with its computed PXRD pattern. Radiation: a wavelength of 1.5418 Å. Structure: a cell relaxed with GGA-PBE.

a b c (Å): 7.997 7.997 7.997
angles (deg): 60.00 60.00 60.00
Fractional positions:
Nd1 0.207 0.764 0.764
Nd2 0.236 0.236 0.236
Nd3 0.236 0.236 0.793
Nd4 0.236 0.793 0.236
Nd5 0.764 0.207 0.764
Nd6 0.764 0.764 0.207
Nd7 0.764 0.764 0.764
Nd8 0.793 0.236 0.236
Pt1 0.375 0.375 0.375
Pt2 0.625 0.625 0.625

Top 12 peaks for 15 to 90 degrees two-theta, sorted by position:
2θ 22.23, d = 3.998 Å, rel. 36
2θ 26.13, d = 3.410 Å, rel. 13
2θ 27.32, d = 3.265 Å, rel. 100
2θ 31.65, d = 2.827 Å, rel. 21
2θ 34.57, d = 2.594 Å, rel. 35
2θ 41.49, d = 2.176 Å, rel. 31
2θ 45.36, d = 1.999 Å, rel. 61
2θ 53.77, d = 1.705 Å, rel. 35
2θ 61.34, d = 1.511 Å, rel. 12
2θ 67.83, d = 1.382 Å, rel. 14
2θ 83.81, d = 1.154 Å, rel. 14
2θ 89.68, d = 1.093 Å, rel. 16

This entry pairs a crystal structure of AgAu3 with its computed PXRD pattern. Radiation: a wavelength of 1.5418 Å. Structure: a cell relaxed with GGA-PBE.

a b c (Å): 5.863 5.863 4.856
angles (deg): 90.00 90.00 120.00
Fractional positions:
Ag1 0.333 0.667 0.250
Ag2 0.667 0.333 0.750
Au1 0.167 0.334 0.750
Au2 0.167 0.833 0.750
Au3 0.334 0.167 0.250
Au4 0.666 0.833 0.750
Au5 0.833 0.167 0.250
Au6 0.833 0.666 0.250

Top 12 peaks for 15 to 90 degrees two-theta, sorted by position:
2θ 25.38, d = 3.509 Å, rel. 5
2θ 35.36, d = 2.539 Å, rel. 23
2θ 37.02, d = 2.428 Å, rel. 28
2θ 40.08, d = 2.250 Å, rel. 100
2θ 52.12, d = 1.755 Å, rel. 16
2θ 63.47, d = 1.466 Å, rel. 17
2θ 68.78, d = 1.365 Å, rel. 20
2θ 75.81, d = 1.255 Å, rel. 21
2θ 77.77, d = 1.228 Å, rel. 15
2θ 78.84, d = 1.214 Å, rel. 3
2θ 86.52, d = 1.125 Å, rel. 4
2θ 89.48, d = 1.095 Å, rel. 4

This entry pairs a crystal structure of Dy2ZnHg with its computed PXRD pattern. Radiation: a wavelength of 1.5418 Å. Structure: a cell relaxed with GGA-PBE.

a b c (Å): 5.177 5.177 5.177
angles (deg): 60.00 60.00 60.00
Fractional positions:
Dy1 0.250 0.250 0.250
Dy2 0.750 0.750 0.750
Zn1 0.000 0.000 0.000
Hg1 0.500 0.500 0.500

Top 12 peaks for 15 to 90 degrees two-theta, sorted by position:
2θ 21.02, d = 4.227 Å, rel. 11
2θ 24.32, d = 3.660 Å, rel. 1
2θ 34.66, d = 2.588 Å, rel. 100
2θ 40.88, d = 2.207 Å, rel. 6
2θ 49.82, d = 1.830 Å, rel. 18
2θ 54.65, d = 1.680 Å, rel. 3
2θ 62.11, d = 1.494 Å, rel. 37
2θ 66.35, d = 1.409 Å, rel. 2
2θ 73.12, d = 1.294 Å, rel. 11
2θ 77.07, d = 1.237 Å, rel. 2
2θ 83.52, d = 1.158 Å, rel. 16
2θ 87.34, d = 1.116 Å, rel. 1

This entry pairs a crystal structure of Te7Pd20 with its computed PXRD pattern. Radiation: a wavelength of 1.5418 Å. Structure: a cell relaxed with GGA-PBE.

a b c (Å): 7.914 7.914 7.914
angles (deg): 98.98 98.98 98.98
Fractional positions:
Te1 0.000 0.000 0.000
Te2 0.121 0.276 0.546
Te3 0.276 0.546 0.121
Te4 0.454 0.879 0.724
Te5 0.546 0.121 0.276
Te6 0.724 0.454 0.879
Te7 0.879 0.724 0.454
Pd1 0.009 0.334 0.223
Pd2 0.012 0.313 0.855
Pd3 0.145 0.988 0.687
Pd4 0.218 0.678 0.464
Pd5 0.223 0.009 0.334
Pd6 0.313 0.855 0.012
Pd7 0.322 0.536 0.782
Pd8 0.334 0.223 0.009
Pd9 0.380 0.380 0.380
Pd10 0.464 0.218 0.678
Pd11 0.536 0.782 0.322
Pd12 0.620 0.620 0.620
Pd13 0.666 0.777 0.991
Pd14 0.678 0.464 0.218
Pd15 0.687 0.145 0.988
Pd16 0.777 0.991 0.666
Pd17 0.782 0.322 0.536
Pd18 0.855 0.012 0.313
Pd19 0.988 0.687 0.145
Pd20 0.991 0.666 0.777

Top 12 peaks for 15 to 90 degrees two-theta, sorted by position:
2θ 35.34, d = 2.540 Å, rel. 9
2θ 35.99, d = 2.495 Å, rel. 16
2θ 37.99, d = 2.369 Å, rel. 17
2θ 38.48, d = 2.340 Å, rel. 13
2θ 39.08, d = 2.305 Å, rel. 100
2θ 39.63, d = 2.274 Å, rel. 100
2θ 40.95, d = 2.204 Å, rel. 9
2θ 44.72, d = 2.027 Å, rel. 17
2θ 46.57, d = 1.950 Å, rel. 12
2θ 56.88, d = 1.619 Å, rel. 10
2θ 70.44, d = 1.337 Å, rel. 10
2θ 71.54, d = 1.319 Å, rel. 10

This entry pairs a crystal structure of MgTe2Mo2WSe2S2 with its computed PXRD pattern. Radiation: a wavelength of 1.5418 Å. Structure: a cell relaxed with GGA-PBE.

a b c (Å): 3.364 3.364 35.291
angles (deg): 90.12 90.12 59.99
Fractional positions:
Mg1 0.000 0.000 0.000
Te1 0.329 0.329 0.303
Te2 0.331 0.331 0.410
Mo1 0.330 0.330 0.129
Mo2 0.997 0.997 0.887
W1 0.996 0.996 0.356
Se1 0.996 0.996 0.082
Se2 0.998 0.998 0.176
S1 0.330 0.330 0.845
S2 0.331 0.331 0.931

Top 12 peaks for 15 to 90 degrees two-theta, sorted by position:
2θ 30.69, d = 2.913 Å, rel. 62
2θ 30.80, d = 2.903 Å, rel. 33
2θ 32.36, d = 2.766 Å, rel. 36
2θ 34.35, d = 2.610 Å, rel. 78
2θ 35.59, d = 2.522 Å, rel. 84
2θ 36.98, d = 2.431 Å, rel. 33
2θ 40.14, d = 2.247 Å, rel. 72
2θ 41.88, d = 2.157 Å, rel. 100
2θ 41.94, d = 2.154 Å, rel. 20
2θ 43.61, d = 2.075 Å, rel. 18
2θ 54.59, d = 1.681 Å, rel. 75
2θ 55.63, d = 1.652 Å, rel. 25

This entry pairs a crystal structure of LaAlAg2 with its computed PXRD pattern. Radiation: a wavelength of 1.5418 Å. Structure: a cell relaxed with GGA-PBE.

a b c (Å): 5.026 5.026 5.026
angles (deg): 60.00 60.00 60.00
Fractional positions:
La1 0.000 0.000 0.000
Al1 0.500 0.500 0.500
Ag1 0.250 0.250 0.250
Ag2 0.750 0.750 0.750

Top 12 peaks for 15 to 90 degrees two-theta, sorted by position:
2θ 21.66, d = 4.104 Å, rel. 19
2θ 25.06, d = 3.554 Å, rel. 3
2θ 35.73, d = 2.513 Å, rel. 100
2θ 42.17, d = 2.143 Å, rel. 10
2θ 51.43, d = 1.777 Å, rel. 17
2θ 56.43, d = 1.631 Å, rel. 4
2θ 58.03, d = 1.589 Å, rel. 1
2θ 64.20, d = 1.451 Å, rel. 34
2θ 68.61, d = 1.368 Å, rel. 3
2θ 75.70, d = 1.256 Å, rel. 11
2θ 79.84, d = 1.201 Å, rel. 3
2θ 86.63, d = 1.124 Å, rel. 15